1.
The following is a computed powder diffraction line list of Ac2VSe5. It was derived from a DFT-relaxed cell (PBE, Alexandria), using CuKα.
Kinematic intensities with the Lorentz-polarization factor, no thermal factor.

Crystal structure
```
data_Ac2VSe5
_chemical_formula_sum 'Ac4 V2 Se10'
_space_group_name_H-M_alt 'I 4 m m'
_space_group_IT_number 107
_space_group_name_Hall 'I 4 -2'
_cell_length_a 7.279
_cell_length_b 7.279
_cell_length_c 8.414
_cell_angle_alpha 90.00
_cell_angle_beta 90.00
_cell_angle_gamma 90.00
loop_
_atom_site_label
_atom_site_fract_x
_atom_site_fract_y
_atom_site_fract_z
_atom_site_occupancy
Ac1 0.000 0.500 0.000 1
V1 0.000 0.000 0.318 1
Se1 0.000 0.000 0.578 1
Se2 0.235 0.235 0.254 1
```

Top 10 peaks for 15 to 90 degrees two-theta, by angle:
- 17.2°, d = 5.147 Å, intensity 36, hkl 1 1 0
- 27.4°, d = 3.257 Å, intensity 49, hkl 1 1 2
- 32.5°, d = 2.752 Å, intensity 100, hkl 2 0 2
- 34.9°, d = 2.574 Å, intensity 55, hkl 2 2 0
- 44.9°, d = 2.019 Å, intensity 25, hkl 3 1 2
- 46.6°, d = 1.947 Å, intensity 15, hkl 1 1 4
- 50.1°, d = 1.820 Å, intensity 20, hkl 4 0 0
- 56.5°, d = 1.629 Å, intensity 22, hkl 2 2 4
- 59.5°, d = 1.553 Å, intensity 15, hkl 3 1 4
- 61.0°, d = 1.518 Å, intensity 32, hkl 4 2 2

2.
The following is a computed powder diffraction line list of AcYSe. It was derived from a DFT-relaxed cell (PBE, Alexandria), using CuKα.
Kinematic intensities with the Lorentz-polarization factor, no thermal factor.

Crystal structure
```
data_AcYSe
_chemical_formula_sum 'Ac1 Y1 Se1'
_space_group_name_H-M_alt 'P 3 m 1'
_space_group_IT_number 156
_space_group_name_Hall 'P 3 -2"'
_cell_length_a 4.0596
_cell_length_b 4.0596
_cell_length_c 7.0297
_cell_angle_alpha 90.00
_cell_angle_beta 90.00
_cell_angle_gamma 120.00
loop_
_atom_site_label
_atom_site_fract_x
_atom_site_fract_y
_atom_site_fract_z
_atom_site_occupancy
Ac1 0.0000 0.0000 0.0000 1
Y1 0.3333 0.6667 0.4569 1
Se1 0.6667 0.3333 0.6975 1
```

Top 10 peaks for 15 to 90 degrees two-theta, by angle:
- 25.3°, d = 3.515 Å, intensity 27, hkl 0 0 2
- 28.4°, d = 3.144 Å, intensity 100, hkl 0 1 1
- 36.1°, d = 2.486 Å, intensity 41, hkl 1 0 2
- 44.6°, d = 2.030 Å, intensity 26, hkl 1 1 0
- 46.6°, d = 1.950 Å, intensity 23, hkl 1 0 3
- 52.0°, d = 1.758 Å, intensity 18, hkl 0 0 4
- 53.8°, d = 1.705 Å, intensity 17, hkl 2 0 1
- 58.7°, d = 1.572 Å, intensity 17, hkl 0 2 2
- 72.4°, d = 1.306 Å, intensity 21, hkl 1 2 1
- 76.7°, d = 1.243 Å, intensity 12, hkl 2 1 2